No. 1
Diffraction record for AcMgP2O8. The powder diffraction line list is theoretical, not measured: it uses a GGA-PBE-relaxed structure and CuKα.
Peak positions follow from Bragg's law for the DFT cell and can differ from measured ones.

Peak list (10 most intense, 2θ from 10° to 90°, most intense first)
23.37 deg, I 100
19.72 deg, I 89
32.02 deg, I 78
12.41 deg, I 70
43.05 deg, I 56
36.81 deg, I 51
34.51 deg, I 48
47.79 deg, I 38
55.49 deg, I 31
63.28 deg, I 29

Lattice parameters (Å, degrees): 5.1982 5.1982 7.1313 90.00 90.00 120.00
Sites, in units of the cell vectors:
Ac  0.0000  0.0000  0.0000
Mg  0.0000  0.0000  0.5000
P  0.3333  0.6667  0.7599
P  0.6667  0.3333  0.2401
O  0.1708  0.3416  0.6923
O  0.1708  0.8292  0.6923
O  0.3333  0.6667  0.9781
O  0.3416  0.1708  0.3077
O  0.6584  0.8292  0.6923
O  0.6667  0.3333  0.0219
O  0.8292  0.1708  0.3077
O  0.8292  0.6584  0.3077



No. 2
Diffraction record for La7NiPt4. The powder diffraction line list is theoretical, not measured: it uses a GGA-PBE-relaxed structure and CuKα.
Peak positions follow from Bragg's law for the DFT cell and can differ from measured ones.

Peak list (10 most intense, 2θ from 10° to 90°, most intense first)
43.87 deg, I 100
31.43 deg, I 91
30.62 deg, I 91
29.08 deg, I 73
28.97 deg, I 72
29.36 deg, I 68
38.44 deg, I 58
22.56 deg, I 49
21.79 deg, I 49
42.06 deg, I 45

Lattice parameters (Å, degrees): 7.2590 7.2590 12.6251 103.29 103.29 33.01
Sites, in units of the cell vectors:
La  0.0000  0.0000  0.0000
La  0.2178  0.2178  0.8574
La  0.2979  0.2979  0.4184
La  0.5219  0.5219  0.2799
La  0.6027  0.6027  0.5867
La  0.7542  0.7542  0.1432
La  0.9128  0.9128  0.6899
Ni  0.1417  0.1417  0.2135
Pt  0.2578  0.2578  0.6379
Pt  0.3744  0.3744  0.0675
Pt  0.5607  0.5607  0.8217
Pt  0.9559  0.9559  0.4538



No. 3
Diffraction record for Cd2CuOsO6. The powder diffraction line list is theoretical, not measured: it uses a GGA-PBE-relaxed structure and CuKα.
Peak positions follow from Bragg's law for the DFT cell and can differ from measured ones.

Peak list (10 most intense, 2θ from 10° to 90°, most intense first)
31.20 deg, I 100
30.45 deg, I 93
51.71 deg, I 36
34.09 deg, I 30
49.92 deg, I 29
37.71 deg, I 28
19.27 deg, I 26
35.35 deg, I 26
19.52 deg, I 18
63.17 deg, I 16

Lattice parameters (Å, degrees): 5.0818 5.2604 10.6595 90.00 116.48 90.00
Sites, in units of the cell vectors:
Cd  0.2278  0.0254  0.2539
Cd  0.2278  0.4746  0.7539
Cd  0.7722  0.5254  0.2461
Cd  0.7722  0.9746  0.7461
Cu  0.5000  0.0000  0.0000
Cu  0.5000  0.5000  0.5000
Os  0.0000  0.0000  0.5000
Os  0.0000  0.5000  0.0000
O  0.1127  0.2261  0.9042
O  0.1127  0.2739  0.4042
O  0.2495  0.7150  0.9578
O  0.2495  0.7850  0.4578
O  0.3154  0.1007  0.6754
O  0.3154  0.3993  0.1754
O  0.6846  0.6007  0.8246
O  0.6846  0.8993  0.3246
O  0.7505  0.2150  0.5422
O  0.7505  0.2850  0.0422
O  0.8873  0.7261  0.5958
O  0.8873  0.7739  0.0958



No. 4
Diffraction record for Cs2ThBi2O6. The powder diffraction line list is theoretical, not measured: it uses a GGA-PBE-relaxed structure and CuKα.
Peak positions follow from Bragg's law for the DFT cell and can differ from measured ones.

Peak list (10 most intense, 2θ from 10° to 90°, most intense first)
28.14 deg, I 100
27.77 deg, I 52
10.78 deg, I 46
27.42 deg, I 38
18.27 deg, I 30
24.41 deg, I 25
37.03 deg, I 25
48.91 deg, I 22
56.54 deg, I 19
43.95 deg, I 19

Lattice parameters (Å, degrees): 6.5161 6.5161 8.3578 99.51 99.51 59.90
Sites, in units of the cell vectors:
Cs  0.1917  0.1917  0.1748
Cs  0.8083  0.8083  0.8252
Th  0.5000  0.5000  0.0000
Bi  0.1271  0.1271  0.7191
Bi  0.8729  0.8729  0.2809
O  0.1775  0.6940  0.1548
O  0.3064  0.3064  0.8446
O  0.3060  0.8225  0.8452
O  0.6940  0.1775  0.1548
O  0.6936  0.6936  0.1554
O  0.8225  0.3060  0.8452



No. 5
Diffraction record for LiTb2Cd3. The powder diffraction line list is theoretical, not measured: it uses a GGA-PBE-relaxed structure and CuKα.
Peak positions follow from Bragg's law for the DFT cell and can differ from measured ones.

Peak list (10 most intense, 2θ from 10° to 90°, most intense first)
34.63 deg, I 100
35.22 deg, I 53
62.82 deg, I 34
29.49 deg, I 24
50.66 deg, I 18
25.98 deg, I 14
61.68 deg, I 14
54.62 deg, I 11
73.06 deg, I 8
85.13 deg, I 8

Lattice parameters (Å, degrees): 3.6041 3.6041 11.1755 90.00 90.00 90.00
Sites, in units of the cell vectors:
Li  0.0000  0.0000  0.0000
Tb  0.0000  0.0000  0.3235
Tb  0.0000  0.0000  0.6765
Cd  0.5000  0.5000  0.1413
Cd  0.5000  0.5000  0.5000
Cd  0.5000  0.5000  0.8587



No. 6
Diffraction record for Tb3DyGa4. The powder diffraction line list is theoretical, not measured: it uses a GGA-PBE-relaxed structure and CuKα.
Peak positions follow from Bragg's law for the DFT cell and can differ from measured ones.

Peak list (10 most intense, 2θ from 10° to 90°, most intense first)
35.45 deg, I 100
63.68 deg, I 27
51.00 deg, I 18
24.86 deg, I 16
63.54 deg, I 9
85.74 deg, I 8
85.87 deg, I 8
57.55 deg, I 7
74.93 deg, I 6
75.10 deg, I 6

Lattice parameters (Å, degrees): 8.7858 8.7858 8.7858 33.47 33.47 33.47
Sites, in units of the cell vectors:
Tb  0.0000  0.0000  0.0000
Tb  0.2499  0.2499  0.2499
Tb  0.7501  0.7501  0.7501
Dy  0.5000  0.5000  0.5000
Ga  0.1252  0.1252  0.1252
Ga  0.3752  0.3752  0.3752
Ga  0.6248  0.6248  0.6248
Ga  0.8748  0.8748  0.8748



No. 7
Diffraction record for LaNdSO2. The powder diffraction line list is theoretical, not measured: it uses a GGA-PBE-relaxed structure and CuKα.
Peak positions follow from Bragg's law for the DFT cell and can differ from measured ones.

Peak list (10 most intense, 2θ from 10° to 90°, most intense first)
31.20 deg, I 100
32.10 deg, I 40
23.65 deg, I 38
56.66 deg, I 36
54.97 deg, I 24
43.46 deg, I 23
46.03 deg, I 22
14.14 deg, I 14
56.48 deg, I 12
83.41 deg, I 10

Lattice parameters (Å, degrees): 3.9432 3.9432 12.5250 90.00 90.00 90.00
Sites, in units of the cell vectors:
La  0.0000  0.0000  0.0000
La  0.5000  0.5000  0.5000
Nd  0.0000  0.0000  0.3000
Nd  0.5000  0.5000  0.8000
S  0.0000  0.0000  0.6528
S  0.5000  0.5000  0.1528
O  0.0000  0.5000  0.3987
O  0.0000  0.5000  0.8987
O  0.5000  0.0000  0.3987
O  0.5000  0.0000  0.8987



No. 8
Diffraction record for Cs2BaHoBr6. The powder diffraction line list is theoretical, not measured: it uses a GGA-PBE-relaxed structure and CuKα.
Peak positions follow from Bragg's law for the DFT cell and can differ from measured ones.

Peak list (10 most intense, 2θ from 10° to 90°, most intense first)
29.78 deg, I 100
20.94 deg, I 47
42.63 deg, I 44
14.77 deg, I 24
26.44 deg, I 19
24.98 deg, I 17
44.45 deg, I 15
20.03 deg, I 13
54.43 deg, I 12
21.80 deg, I 12

Lattice parameters (Å, degrees): 8.1521 11.9941 8.8662 90.00 90.00 90.00
Sites, in units of the cell vectors:
Cs  0.2500  0.0228  0.2123
Cs  0.2500  0.4772  0.2123
Cs  0.7500  0.5228  0.7877
Cs  0.7500  0.9772  0.7877
Ba  0.2500  0.2500  0.7230
Ba  0.7500  0.7500  0.2770
Ho  0.2500  0.7500  0.7736
Ho  0.7500  0.2500  0.2264
Br  0.0052  0.7500  0.5508
Br  0.0124  0.7500  0.0055
Br  0.2500  0.5148  0.7721
Br  0.2500  0.9852  0.7721
Br  0.4876  0.7500  0.0055
Br  0.4948  0.7500  0.5508
Br  0.5052  0.2500  0.4492
Br  0.5124  0.2500  0.9945
Br  0.7500  0.0148  0.2279
Br  0.7500  0.4852  0.2279
Br  0.9876  0.2500  0.9945
Br  0.9948  0.2500  0.4492



No. 9
Diffraction record for La5CdAg2. The powder diffraction line list is theoretical, not measured: it uses a GGA-PBE-relaxed structure and CuKα.
Peak positions follow from Bragg's law for the DFT cell and can differ from measured ones.

Peak list (10 most intense, 2θ from 10° to 90°, most intense first)
30.72 deg, I 100
32.74 deg, I 52
61.42 deg, I 22
34.09 deg, I 19
48.01 deg, I 10
29.20 deg, I 10
52.72 deg, I 9
53.31 deg, I 9
40.86 deg, I 8
46.98 deg, I 7

Lattice parameters (Å, degrees): 9.0170 9.0170 9.0170 122.68 122.68 85.41
Sites, in units of the cell vectors:
La  0.0000  0.0000  0.0000
La  0.0084  0.5084  0.8172
La  0.1911  0.0084  0.5000
La  0.3089  0.8089  0.8172
La  0.4916  0.3089  0.5000
La  0.5000  0.5000  0.0000
La  0.5084  0.6911  0.5000
La  0.6911  0.1911  0.1828
La  0.8089  0.9916  0.5000
La  0.9916  0.4916  0.1828
Cd  0.2500  0.2500  0.0000
Cd  0.7500  0.7500  0.0000
Ag  0.1291  0.3709  0.5000
Ag  0.3709  0.8709  0.2417
Ag  0.6291  0.1291  0.7583
Ag  0.8709  0.6291  0.5000



No. 10
Diffraction record for Ac3Ni2Pb4. The powder diffraction line list is theoretical, not measured: it uses a GGA-PBE-relaxed structure and CuKα.
Peak positions follow from Bragg's law for the DFT cell and can differ from measured ones.

Peak list (10 most intense, 2θ from 10° to 90°, most intense first)
29.63 deg, I 100
29.05 deg, I 93
29.27 deg, I 62
38.18 deg, I 53
30.47 deg, I 45
55.55 deg, I 25
38.89 deg, I 25
49.60 deg, I 24
44.69 deg, I 24
59.88 deg, I 23

Lattice parameters (Å, degrees): 6.5308 6.5308 9.3023 99.24 99.24 42.33
Sites, in units of the cell vectors:
Ac  0.0000  0.0000  0.0000
Ac  0.3791  0.3791  0.3109
Ac  0.6209  0.6209  0.6891
Ni  0.2881  0.2881  0.5790
Ni  0.7119  0.7119  0.4210
Pb  0.0969  0.0969  0.3829
Pb  0.2929  0.2929  0.8998
Pb  0.7071  0.7071  0.1002
Pb  0.9031  0.9031  0.6172